No. 1
For KCe3Hg2Br12, DFT lattice parameters and positions (PBE) gives the computed PXRD pattern in this record (copper Kα).
No peak broadening, texture or thermal motion is included.

The 10 most intense peaks (10 to 90 degrees two-theta), in order of rising 2θ:
two_theta, I (rel.)
10.2, 354
18.9, 1000
19.1, 599
19.5, 292
23.1, 372
29.9, 385
31.0, 387
32.5, 893
33.4, 405
45.5, 536

Structural model:
```
KCe3Hg2Br12
1.0
5.5090 3.1806 8.6594
-5.5090 3.1806 8.6594
0.0000 -6.3613 8.6594
K Ce Hg Br
1 3 2 12
direct
0.0000 0.0000 0.0000
0.0000 0.0000 0.5000
0.0000 0.5000 0.0000
0.5000 0.0000 0.0000
0.3801 0.3801 0.3801
0.6199 0.6199 0.6199
0.0802 0.6960 0.6960
0.0909 0.0909 0.6321
0.0909 0.6321 0.0909
0.3040 0.3040 0.9198
0.3040 0.9198 0.3040
0.3679 0.9091 0.9091
0.6321 0.0909 0.0909
0.6960 0.0802 0.6960
0.6960 0.6960 0.0802
0.9091 0.3679 0.9091
0.9091 0.9091 0.3679
0.9198 0.3040 0.3040
```

***

No. 2
For Pm2Nd2Si4Ir, DFT lattice parameters and positions (PBE) gives the computed PXRD pattern in this record (copper Kα).
No peak broadening, texture or thermal motion is included.

The 10 most intense peaks (10 to 90 degrees two-theta), in order of rising 2θ:
two_theta, I (rel.)
17.9, 201
25.5, 1000
27.3, 298
32.9, 428
33.4, 515
36.3, 730
42.5, 510
52.3, 255
57.1, 234
59.1, 201

Structural model:
```
Pm2Nd2Si4Ir
1.0
-3.4954 3.4954 4.3562
3.4954 -3.4954 4.3562
3.4954 3.4954 -4.3562
Pm Nd Si Ir
2 2 4 1
direct
0.1856 0.1856 0.0000
0.8144 0.8144 0.0000
0.2500 0.7500 0.5000
0.7500 0.2500 0.5000
0.2573 0.2573 0.5146
0.2573 0.7427 0.0000
0.7427 0.2573 0.0000
0.7427 0.7427 0.4854
0.5000 0.5000 0.0000
```

***

No. 3
For Sb6IrPd, DFT lattice parameters and positions (PBE) gives the computed PXRD pattern in this record (copper Kα).
No peak broadening, texture or thermal motion is included.

The 10 most intense peaks (10 to 90 degrees two-theta), in order of rising 2θ:
two_theta, I (rel.)
13.1, 296
18.7, 648
29.7, 415
29.8, 880
29.9, 1000
35.5, 418
42.6, 453
42.7, 567
46.7, 300
47.1, 449

Structural model:
```
Sb6IrPd
1.0
6.6750 -4.7300 0.0000
6.6750 4.7300 0.0000
-6.6644 0.0000 6.7487
Sb Ir Pd
12 2 2
direct
0.1522 0.8431 0.6551
0.1569 0.8478 0.3449
0.1877 0.5038 0.8421
0.3375 0.3375 0.4896
0.3477 0.3477 0.1916
0.4962 0.8123 0.1579
0.5038 0.1877 0.8421
0.6523 0.6523 0.8084
0.6625 0.6625 0.5104
0.8123 0.4962 0.1579
0.8431 0.1522 0.6551
0.8478 0.1569 0.3449
0.0000 0.5000 0.5000
0.5000 0.0000 0.5000
0.0000 0.5000 0.0000
0.5000 0.0000 0.0000
```

***

No. 4
For Sr2AlTl3, DFT lattice parameters and positions (PBE) gives the computed PXRD pattern in this record (copper Kα).
No peak broadening, texture or thermal motion is included.

The 10 most intense peaks (10 to 90 degrees two-theta), in order of rising 2θ:
two_theta, I (rel.)
14.8, 370
20.2, 243
28.9, 583
29.8, 372
29.9, 1000
34.5, 354
35.1, 704
35.4, 428
46.9, 215
50.3, 248

Structural model:
```
Sr2AlTl3
1.0
6.0149 -2.5364 0.0000
6.0149 2.5364 0.0000
-5.5104 0.0000 6.0081
Sr Al Tl
2 1 3
direct
0.0000 0.0000 0.0000
0.0921 0.0921 0.5945
0.3788 0.3788 0.1804
0.3835 0.3835 0.5547
0.6910 0.6910 0.4141
0.7204 0.7204 0.0368
```